# NbC2NCl8
Simulated powder XRD pattern, Cu Kα, 1.54184 Å. Input: a DFT-relaxed cell (PBE, the Materials Project).
No peak broadening, texture or thermal motion is included.

Peak list (10 most intense, 10° ≤ 2θ ≤ 90°, sorted by position)
2theta  I_rel
10.56  38
15.44  22
17.97  100
19.88  32
21.88  25
24.97  26
30.65  17
32.99  58
34.96  35
52.59  17

Crystal structure
a = 6.1620 Å, b = 6.1620 Å, c = 16.7570 Å
α = 90.00°, β = 90.00°, γ = 97.50°
Element x y z (fractional)
Nb (0.0950, 0.9050, 0.5000)
Nb (0.9050, 0.0950, 0.0000)
C (0.3455, 0.6545, 0.6581)
C (0.4339, 0.5661, 0.7306)
C (0.5661, 0.4339, 0.2306)
C (0.6545, 0.3455, 0.1581)
N (0.2718, 0.7282, 0.6019)
N (0.7282, 0.2718, 0.1019)
Cl (0.0555, 0.9445, 0.1141)
Cl (0.0814, 0.9186, 0.9044)
Cl (0.1689, 0.4035, 0.0120)
Cl (0.2093, 0.4300, 0.7858)
Cl (0.2956, 0.7044, 0.4139)
Cl (0.3816, 0.6184, 0.2024)
Cl (0.4035, 0.1689, 0.5120)
Cl (0.4300, 0.2093, 0.2858)
Cl (0.5700, 0.7907, 0.7858)
Cl (0.5965, 0.8311, 0.0120)
Cl (0.6184, 0.3816, 0.7024)
Cl (0.7044, 0.2956, 0.9139)
Cl (0.7907, 0.5700, 0.2858)
Cl (0.8311, 0.5965, 0.5120)
Cl (0.9186, 0.0814, 0.4044)
Cl (0.9445, 0.0555, 0.6141)